Simulated powder diffraction line list
Compound: LiAlSi2H2O7
Radiation: Cu Ka
Structure: the GGA-PBE geometry in the Materials Project
Lines closer than 0.1° are merged.

Largest 6 diffraction maxima, in order of falling intensity, 15 to 90 degrees two-theta:
- 25.05 deg, d = 3.555 Å, intensity 100, (0 2 0)
- 21.06 deg, d = 4.218 Å, intensity 89, (1 0 -1)
- 20.63 deg, d = 4.306 Å, intensity 76, (1 0 1)
- 19.59 deg, d = 4.533 Å, intensity 43, (0 1 -1)
- 26.91 deg, d = 3.313 Å, intensity 43, (0 2 2)
- 35.53 deg, d = 2.527 Å, intensity 35, (2 0 0)

Cell and atoms:
```
data_LiAlSi2H2O7
_cell_length_a 5.0634
_cell_length_b 7.6442
_cell_length_c 8.5118
_cell_angle_alpha 68.55
_cell_angle_beta 87.73
_cell_angle_gamma 87.08
_space_group_name_H-M_alt 'P 1'
_space_group_IT_number 1
loop_
_space_group_symop_operation_xyz
'x,y,z'
loop_
_atom_site_label
_atom_site_type_symbol
_atom_site_fract_x
_atom_site_fract_y
_atom_site_fract_z
_atom_site_occupancy
Li1 Li 0.0000 0.0000 0.0000 1
Li2 Li 0.4800 0.3027 0.4187 1
Al1 Al 0.4777 0.2475 0.1010 1
Al2 Al 0.9830 0.2785 0.6106 1
Si1 Si 0.4135 0.6886 0.8543 1
Si2 Si 0.4926 0.1079 0.8087 1
Si3 Si 0.9578 0.6965 0.6180 1
Si4 Si 0.9789 0.1111 0.3328 1
H1 H 0.4351 0.6643 0.3166 1
H2 H 0.5340 0.5724 0.1819 1
H3 H 0.8468 0.5734 0.4146 1
H4 H 0.9689 0.7017 0.9406 1
O1 O 0.1168 0.2195 0.4423 1
O2 O 0.1240 0.7685 0.9467 1
O3 O 0.1715 0.1277 0.1695 1
O4 O 0.1791 0.1802 0.7880 1
O5 O 0.2507 0.6685 0.6942 1
O6 O 0.4604 0.4949 0.0250 1
O7 O 0.5501 0.8884 0.8401 1
O8 O 0.5666 0.5767 0.2977 1
O9 O 0.6258 0.1386 0.9678 1
O10 O 0.6483 0.2312 0.6337 1
O11 O 0.6824 0.1988 0.2769 1
O12 O 0.7257 0.6355 0.7559 1
O13 O 0.9349 0.8904 0.4536 1
O14 O 0.9728 0.5380 0.5115 1
```

Simulated powder diffraction line list
Compound: LiAlSiH2O5
Radiation: Cu Ka
Structure: the GGA-PBE geometry in the Materials Project
Lines closer than 0.1° are merged.

Largest 6 diffraction maxima, in order of falling intensity, 15 to 90 degrees two-theta:
- 29.25 deg, d = 3.054 Å, intensity 100, (1 2 1)
- 27.95 deg, d = 3.193 Å, intensity 94, (3 1 0)
- 20.70 deg, d = 4.292 Å, intensity 58, (0 1 1)
- 35.80 deg, d = 2.508 Å, intensity 40, (0 0 2)
- 20.19 deg, d = 4.398 Å, intensity 22, (2 1 0)
- 17.09 deg, d = 5.190 Å, intensity 20, (2 0 0)

Cell and atoms:
```
data_LiAlSiH2O5
_cell_length_a 10.3792
_cell_length_b 8.2880
_cell_length_c 5.0168
_cell_angle_alpha 90.00
_cell_angle_beta 90.00
_cell_angle_gamma 90.00
_space_group_name_H-M_alt 'P n a 21'
_space_group_IT_number 33
loop_
_space_group_symop_operation_xyz
'x,y,z'
'-x,-y,z+1/2'
'-x+1/2,y+1/2,z+1/2'
'x+1/2,-y+1/2,z'
loop_
_atom_site_label
_atom_site_type_symbol
_atom_site_fract_x
_atom_site_fract_y
_atom_site_fract_z
_atom_site_occupancy
Li1 Li 0.1797 0.1793 0.0000 1
Al1 Al 0.1615 0.5760 0.9951 1
Si1 Si 0.1445 0.3713 0.4945 1
H1 H 0.0058 0.9771 0.2998 1
H2 H 0.0634 0.8419 0.4845 1
O1 O 0.0063 0.0795 0.9727 1
O2 O 0.0082 0.6557 0.9438 1
O3 O 0.1803 0.3925 0.8133 1
O4 O 0.1945 0.5346 0.3355 1
O5 O 0.2218 0.2136 0.3771 1
```

Simulated powder diffraction line list
Compound: Li2Al2Si3H4O12
Radiation: Cu Ka
Structure: the GGA-PBE geometry in the Materials Project
Lines closer than 0.1° are merged.

Largest 6 diffraction maxima, in order of falling intensity, 15 to 90 degrees two-theta:
- 15.17 deg, d = 5.841 Å, intensity 100, (1 1 1)
- 31.18 deg, d = 2.869 Å, intensity 84, (3 5 1)
- 31.72 deg, d = 2.821 Å, intensity 68, (5 3 1)
- 20.63 deg, d = 4.306 Å, intensity 63, (3 1 1)
- 20.22 deg, d = 4.393 Å, intensity 55, (1 3 1)
- 28.67 deg, d = 3.114 Å, intensity 51, (5 1 1)

Cell and atoms:
```
data_Li2Al2Si3H4O12
_cell_length_a 18.0283
_cell_length_b 18.8492
_cell_length_c 6.5343
_cell_angle_alpha 90.00
_cell_angle_beta 90.00
_cell_angle_gamma 90.00
_space_group_name_H-M_alt 'F d d 2'
_space_group_IT_number 43
_space_group_name_Hall 'F 2 -2d'
loop_
_atom_site_label
_atom_site_type_symbol
_atom_site_fract_x
_atom_site_fract_y
_atom_site_fract_z
_atom_site_occupancy
Li1 Li 0.0328 0.2891 0.0000 1
Al1 Al 0.0369 0.0926 0.7307 1
Si1 Si 0.0000 0.0000 0.1156 1
Si2 Si 0.1001 0.4636 0.9875 1
H1 H 0.0346 0.1555 0.1727 1
H2 H 0.0891 0.2032 0.3038 1
O1 O 0.0129 0.0719 0.9835 1
O2 O 0.0399 0.2024 0.2393 1
O3 O 0.0412 0.4040 0.0685 1
O4 O 0.0672 0.1805 0.7155 1
O5 O 0.0751 0.4894 0.7557 1
O6 O 0.1047 0.0320 0.6414 1
```

Simulated powder diffraction line list
Compound: LiAlSi2H2O7
Radiation: Cu Ka
Structure: the GGA-PBE geometry in the Materials Project
Lines closer than 0.1° are merged.

Largest 6 diffraction maxima, in order of falling intensity, 15 to 90 degrees two-theta:
- 21.01 deg, d = 4.228 Å, intensity 100, (1 0 -1)
- 17.68 deg, d = 5.017 Å, intensity 82, (1 1 1)
- 18.58 deg, d = 4.776 Å, intensity 64, (1 1 0)
- 28.31 deg, d = 3.152 Å, intensity 37, (2 1 1)
- 24.41 deg, d = 3.647 Å, intensity 31, (0 1 -1)
- 22.84 deg, d = 3.894 Å, intensity 30, (1 -1 0)

Cell and atoms:
```
data_LiAlSi2H2O7
_cell_length_a 6.5095
_cell_length_b 6.7563
_cell_length_c 7.3003
_cell_angle_alpha 62.76
_cell_angle_beta 76.78
_cell_angle_gamma 73.74
_space_group_name_H-M_alt 'P 1'
_space_group_IT_number 1
loop_
_space_group_symop_operation_xyz
'x,y,z'
loop_
_atom_site_label
_atom_site_type_symbol
_atom_site_fract_x
_atom_site_fract_y
_atom_site_fract_z
_atom_site_occupancy
Li1 Li 0.0000 0.0000 0.0000 1
Li2 Li 0.4978 0.8904 0.9506 1
Al1 Al 0.1227 0.4740 0.4093 1
Al2 Al 0.5739 0.1898 0.1153 1
Si1 Si 0.0242 0.1772 0.2576 1
Si2 Si 0.2986 0.9951 0.6091 1
Si3 Si 0.6153 0.5933 0.6788 1
Si4 Si 0.7451 0.6368 0.2441 1
H1 H 0.1773 0.4135 0.6375 1
H2 H 0.2519 0.2829 0.9512 1
H3 H 0.5672 0.5578 0.2267 1
H4 H 0.8680 0.6661 0.7950 1
O1 O 0.0447 0.8871 0.4036 1
O2 O 0.0829 0.1619 0.4879 1
O3 O 0.1042 0.7774 0.2595 1
O4 O 0.2529 0.9222 0.8490 1
O5 O 0.2611 0.1692 0.0958 1
O6 O 0.4054 0.3264 0.2912 1
O7 O 0.4176 0.7782 0.5511 1
O8 O 0.4879 0.1665 0.4942 1
O9 O 0.5469 0.3651 0.8526 1
O10 O 0.6869 0.9113 0.1106 1
O11 O 0.7146 0.7204 0.7774 1
O12 O 0.7875 0.5460 0.4904 1
O13 O 0.8309 0.2265 0.1254 1
O14 O 0.9839 0.4937 0.1826 1
```

Simulated powder diffraction line list
Compound: LiAlSiH2O5
Radiation: Cu Ka
Structure: the GGA-PBE geometry in the Materials Project
Lines closer than 0.1° are merged.

Largest 6 diffraction maxima, in order of falling intensity, 15 to 90 degrees two-theta:
- 29.41 deg, d = 3.037 Å, intensity 100, (1 2 1)
- 20.62 deg, d = 4.307 Å, intensity 86, (0 1 1)
- 28.64 deg, d = 3.117 Å, intensity 56, (3 1 0)
- 35.41 deg, d = 2.535 Å, intensity 35, (0 0 2)
- 17.54 deg, d = 5.057 Å, intensity 19, (2 0 0)
- 38.52 deg, d = 2.337 Å, intensity 19, (1 3 1)

Cell and atoms:
```
data_LiAlSiH2O5
_cell_length_a 10.1131
_cell_length_b 8.1826
_cell_length_c 5.0705
_cell_angle_alpha 90.00
_cell_angle_beta 90.00
_cell_angle_gamma 90.00
_space_group_name_H-M_alt 'P n a 21'
_space_group_IT_number 33
loop_
_space_group_symop_operation_xyz
'x,y,z'
'-x,-y,z+1/2'
'-x+1/2,y+1/2,z+1/2'
'x+1/2,-y+1/2,z'
loop_
_atom_site_label
_atom_site_type_symbol
_atom_site_fract_x
_atom_site_fract_y
_atom_site_fract_z
_atom_site_occupancy
Li1 Li 0.1502 0.1335 0.0000 1
Al1 Al 0.1745 0.5489 0.9970 1
Si1 Si 0.1333 0.3468 0.4983 1
H1 H 0.0553 0.8026 0.3009 1
H2 H 0.1022 0.8338 0.5911 1
O1 O 0.0269 0.6603 0.0434 1
O2 O 0.0438 0.8774 0.4547 1
O3 O 0.1727 0.3639 0.1838 1
O4 O 0.1959 0.5047 0.6574 1
O5 O 0.1985 0.1780 0.6152 1
```

Simulated powder diffraction line list
Compound: LiAlSi2H2O7
Radiation: Cu Ka
Structure: the GGA-PBE geometry in the Materials Project
Lines closer than 0.1° are merged.

Largest 6 diffraction maxima, in order of falling intensity, 15 to 90 degrees two-theta:
- 21.03 deg, d = 4.224 Å, intensity 100, (1 0 -1)
- 25.39 deg, d = 3.508 Å, intensity 76, (0 2 0)
- 26.06 deg, d = 3.420 Å, intensity 58, (0 2 -2)
- 26.93 deg, d = 3.311 Å, intensity 36, (-1 1 1)
- 35.98 deg, d = 2.496 Å, intensity 34, (2 0 0)
- 27.41 deg, d = 3.254 Å, intensity 31, (1 1 -2)

Cell and atoms:
```
data_LiAlSi2H2O7
_cell_length_a 4.9921
_cell_length_b 7.7057
_cell_length_c 8.6997
_cell_angle_alpha 114.41
_cell_angle_beta 90.09
_cell_angle_gamma 90.05
_space_group_name_H-M_alt 'P 1'
_space_group_IT_number 1
loop_
_space_group_symop_operation_xyz
'x,y,z'
loop_
_atom_site_label
_atom_site_type_symbol
_atom_site_fract_x
_atom_site_fract_y
_atom_site_fract_z
_atom_site_occupancy
Li1 Li 0.0000 0.0000 0.0000 1
Li2 Li 0.4979 0.7292 0.3877 1
Al1 Al 0.0054 0.9383 0.3196 1
Al2 Al 0.4982 0.9685 0.7994 1
Si1 Si 0.4326 0.3892 0.8081 1
Si2 Si 0.5061 0.8127 0.0799 1
Si3 Si 0.9336 0.3724 0.5961 1
Si4 Si 0.9984 0.7783 0.5929 1
H1 H 0.3046 0.3890 0.2153 1
H2 H 0.4302 0.4045 0.3833 1
H3 H 0.8065 0.3382 0.1850 1
H4 H 0.9275 0.3328 0.0195 1
O1 O 0.0223 0.1822 0.4393 1
O2 O 0.1179 0.4122 0.7641 1
O3 O 0.3174 0.8330 0.6126 1
O4 O 0.3283 0.8466 0.2478 1
O5 O 0.3740 0.9177 0.9679 1
O6 O 0.4610 0.4424 0.2905 1
O7 O 0.4655 0.2113 0.8571 1
O8 O 0.5259 0.5815 0.9693 1
O9 O 0.6169 0.3662 0.6444 1
O10 O 0.8092 0.8945 0.1378 1
O11 O 0.8402 0.9022 0.7696 1
O12 O 0.8706 0.8166 0.4359 1
O13 O 0.9617 0.2890 0.1083 1
O14 O 0.9653 0.5499 0.5410 1
```